# Rb4MgW2O8
Computed X-ray diffraction stick pattern, Cu Kα, 1.54184 Å. Input: a structure optimized by DFT (GGA+U).
Lines closer than 0.1° are merged.

Largest 10 diffraction maxima, by angle, 2θ = 10–80°:
Position (°2θ), I_rel
16.96, 33.3
19.67, 46.0
26.40, 100.0
27.32, 42.6
27.90, 50.9
29.68, 31.0
32.75, 52.3
34.36, 35.2
41.19, 25.8
46.53, 20.3

Structure:
a = 7.2100 Å, b = 7.2100 Å, c = 9.7831 Å
α = 110.19°, β = 110.19°, γ = 52.66°
Atoms (fractional coordinates):
Rb  0.0000  0.0000  0.0000
Rb  0.0124  0.0124  0.6277
Rb  0.3482  0.3482  0.0277
Rb  0.6668  0.6668  0.6122
Mg  0.2606  0.2606  0.3430
W  0.3476  0.3476  0.6579
W  0.6775  0.6775  0.0074
O  0.1203  0.6169  0.7582
O  0.1982  0.1982  0.4973
O  0.4108  0.4108  0.5038
O  0.4190  0.8795  0.8879
O  0.5870  0.5870  0.1114
O  0.6169  0.1203  0.7582
O  0.8259  0.8259  0.1273
O  0.8795  0.4190  0.8879